# Li2SeO4
Calculated powder diffractogram, λ = 1.5418 Å (Cu Kα). Input: the GGA-PBE geometry in the Materials Project.

Structural model:
Cell: 8.6343 9.0724 9.0875 Å, 92.88 113.42 104.85°
Atoms (fractional coordinates):
Li 0.0632 0.1771 0.3891
Li 0.1556 0.3603 0.8112
Li 0.2052 0.0929 0.9195
Li 0.2506 0.5477 0.4634
Li 0.3655 0.7282 0.0657
Li 0.4220 0.0992 0.3611
Li 0.5780 0.9008 0.6389
Li 0.6345 0.2718 0.9343
Li 0.7494 0.4523 0.5366
Li 0.7948 0.9071 0.0805
Li 0.8444 0.6397 0.1888
Li 0.9368 0.8229 0.6109
Se 0.1821 0.7833 0.3012
Se 0.2155 0.3117 0.1834
Se 0.3660 0.2670 0.6535
Se 0.6340 0.7330 0.3465
Se 0.7845 0.6883 0.8166
Se 0.8179 0.2167 0.6988
O 0.0104 0.2118 0.1686
O 0.0195 0.8660 0.2450
O 0.0785 0.5926 0.2529
O 0.1852 0.3392 0.6038
O 0.2094 0.4270 0.0461
O 0.2766 0.1142 0.4950
O 0.3113 0.1770 0.1550
O 0.3150 0.8523 0.2091
O 0.3164 0.8026 0.5006
O 0.3381 0.4105 0.3698
O 0.3714 0.1877 0.8277
O 0.4526 0.5314 0.9500
O 0.5474 0.4686 0.0500
O 0.6286 0.8123 0.1723
O 0.6619 0.5895 0.6302
O 0.6836 0.1974 0.4994
O 0.6850 0.1477 0.7909
O 0.6887 0.8230 0.8450
O 0.7234 0.8858 0.5050
O 0.7906 0.5730 0.9538
O 0.8148 0.6608 0.3962
O 0.9215 0.4074 0.7471
O 0.9805 0.1340 0.7550
O 0.9896 0.7882 0.8314

Main lines, by angle (15° ≤ 2θ ≤ 90°):
20.56°, d 4.320, intensity 1000
21.30°, d 4.171, intensity 568
21.63°, d 4.108, intensity 354
22.33°, d 3.981, intensity 523
23.55°, d 3.777, intensity 384
25.56°, d 3.485, intensity 407
25.79°, d 3.454, intensity 597
27.75°, d 3.215, intensity 481
30.93°, d 2.892, intensity 351
32.52°, d 2.753, intensity 399